Calculated PXRD pattern
Compound: Tb2MgW2Cl2O8
Radiation: Cu Kα, 1.54184 Å
Structure: a PBE+U-relaxed structure
Intensities are scaled so that the largest is 100.

Largest 10 diffraction maxima, in order of rising 2θ, 5 to 70 degrees two-theta:
h k l, 2θ (°), d [Å], I_rel
0 0 1, 13.59, 6.515, 31.8
1 1 0, 15.11, 5.865, 52.8
2 0 0, 17.28, 5.132, 50.3
0 2 0, 24.92, 3.573, 100.0
2 0 1, 25.68, 3.469, 76.8
3 1 -1, 27.67, 3.224, 49.8
1 1 -2, 28.47, 3.135, 77.7
3 1 -2, 32.85, 2.726, 68.9
2 2 1, 36.08, 2.490, 48.1
5 1 -1, 43.05, 2.101, 39.2

Cell and atoms:
```
data_Tb2MgW2Cl2O8
_symmetry_space_group_name_H-M 'C 1 2 1'
_symmetry_Int_Tables_number 5
_symmetry_space_group_name_Hall 'C 2y'
_cell_length_a 11.0051
_cell_length_b 7.1456
_cell_length_c 6.9853
_cell_angle_alpha 90.00
_cell_angle_beta 111.14
_cell_angle_gamma 90.00
loop_
_atom_site_label
_atom_site_fract_x
_atom_site_fract_y
_atom_site_fract_z
Tb1 0.2389 0.0000 0.1077
Mg1 0.0000 0.3070 0.5000
W1 0.1410 0.4895 0.2646
Cl1 0.0064 0.0484 0.2496
O1 0.0390 0.4844 0.7819
O2 0.1824 0.4208 0.5428
O3 0.1837 0.6911 0.1296
O4 0.2323 0.3146 0.1652
```